Entry 1:
# Pr6Tl3Cu
Theoretical PXRD pattern, CuKα. Input: a GGA-PBE-relaxed structure.
No peak broadening, texture or thermal motion is included.

Atomic structure:
```
Pr6Tl3Cu
1.0
9.5636 0.0000 0.0000
0.0000 11.6414 0.0000
0.0000 0.0000 5.5773
Pr Tl Cu
12 6 2
Direct
0.0026 0.2360 0.0000
0.1591 0.0623 0.5000
0.1758 0.4463 0.5000
0.3242 0.9463 0.0000
0.3409 0.5623 0.0000
0.4974 0.7360 0.5000
0.5026 0.2640 0.5000
0.6591 0.4377 0.0000
0.6758 0.0537 0.0000
0.8242 0.5537 0.5000
0.8409 0.9377 0.5000
0.9974 0.7640 0.0000
0.0000 0.5000 0.0000
0.1636 0.7542 0.5000
0.3365 0.2542 0.0000
0.5000 0.0000 0.5000
0.6636 0.7458 0.0000
0.8364 0.2458 0.5000
0.0000 0.0000 0.0000
0.5000 0.5000 0.5000
```

Most intense lines, 2θ = 10–90°, most intense first:
2theta  I/Imax  (hkl)
29.59  100  1 3 1
32.35  100  3 0 1
32.10  52  0 0 2
45.21  34  3 4 1
30.72  25  0 4 0
44.26  22  2 3 2
57.38  20  3 0 3
45.02  17  0 4 2
57.86  14  6 0 0
56.09  12  5 3 1

***

Entry 2:
# PrY2Cu6
Theoretical PXRD pattern, CuKα. Input: a GGA-PBE-relaxed structure.
No peak broadening, texture or thermal motion is included.

Atomic structure:
```
PrY2Cu6
1.0
7.3577 0.0000 0.0000
-3.6788 6.3719 0.0000
0.0000 0.0000 3.6825
Pr Y Cu
1 2 6
Direct
0.0000 0.0000 0.0000
0.3333 0.6667 0.0000
0.6667 0.3333 0.0000
0.0000 0.3358 0.5000
0.0000 0.6642 0.5000
0.3358 0.0000 0.5000
0.3358 0.3358 0.5000
0.6642 0.0000 0.5000
0.6642 0.6642 0.5000
```

Most intense lines, 2θ = 10–90°, most intense first:
2theta  I/Imax  (hkl)
34.46  100  1 1 1
42.56  53  3 0 0
67.30  26  3 0 2
55.87  25  2 2 1
72.69  22  4 1 1
49.51  13  0 0 2
77.90  8  3 3 0
82.92  7  1 1 3
24.19  7  1 1 0
13.90  3  1 0 0